1.
For Be2Zn2PbO6, the GGA-PBE geometry in Alexandria gives the computed XRD peak list in this record (Cu Kα (λ = 1.5418 Å)).
Lines closer than 0.1° are merged.

Largest 8 diffraction maxima, low angle first, 2θ = 5–70°:
- 2θ = 14.07°, rel. 71
- 2θ = 24.24°, rel. 100
- 2θ = 34.37°, rel. 42
- 2θ = 34.74°, rel. 67
- 2θ = 37.31°, rel. 33
- 2θ = 42.50°, rel. 28
- 2θ = 49.67°, rel. 24
- 2θ = 61.79°, rel. 24

Structure:
Unit cell a=5.219 b=5.219 c=6.294 alpha=90.00 beta=90.00 gamma=120.00
Element x y z (fractional)
Be (0.333, 0.667, 0.287)
Be (0.667, 0.333, 0.713)
Zn (0.333, 0.667, 0.741)
Zn (0.667, 0.333, 0.259)
Pb (0.000, 0.000, 0.500)
O (0.044, 0.681, 0.291)
O (0.319, 0.363, 0.291)
O (0.363, 0.044, 0.709)
O (0.637, 0.956, 0.291)
O (0.681, 0.637, 0.709)
O (0.956, 0.319, 0.709)

***

2.
For PmBePtO5, the GGA-PBE geometry in Alexandria gives the computed XRD peak list in this record (Cu Kα (λ = 1.5418 Å)).
Lines closer than 0.1° are merged.

Largest 8 diffraction maxima, low angle first, 2θ = 5–70°:
- 2θ = 17.95°, rel. 40
- 2θ = 18.79°, rel. 34
- 2θ = 27.82°, rel. 100
- 2θ = 30.17°, rel. 59
- 2θ = 33.62°, rel. 71
- 2θ = 34.38°, rel. 47
- 2θ = 38.07°, rel. 46
- 2θ = 44.74°, rel. 27

Structure:
Unit cell a=5.511 b=5.511 c=6.964 alpha=103.05 beta=103.05 gamma=108.68
Element x y z (fractional)
Pm (0.149, 0.851, 0.750)
Pm (0.851, 0.149, 0.250)
Be (0.194, 0.806, 0.250)
Be (0.806, 0.194, 0.750)
Pt (0.500, 0.500, 0.000)
Pt (0.500, 0.500, 0.500)
O (0.106, 0.248, 0.925)
O (0.182, 0.601, 0.387)
O (0.248, 0.106, 0.425)
O (0.399, 0.818, 0.113)
O (0.410, 0.590, 0.750)
O (0.590, 0.410, 0.250)
O (0.601, 0.182, 0.887)
O (0.752, 0.894, 0.575)
O (0.818, 0.399, 0.613)
O (0.894, 0.752, 0.075)

***

3.
For Pr2BeRhO6, the GGA-PBE geometry in Alexandria gives the computed XRD peak list in this record (Cu Kα (λ = 1.5418 Å)).
Lines closer than 0.1° are merged.

Largest 8 diffraction maxima, low angle first, 2θ = 5–70°:
- 2θ = 20.01°, rel. 25
- 2θ = 23.08°, rel. 17
- 2θ = 32.91°, rel. 100
- 2θ = 33.04°, rel. 51
- 2θ = 40.63°, rel. 18
- 2θ = 47.17°, rel. 28
- 2θ = 58.70°, rel. 18
- 2θ = 58.84°, rel. 25

Structure:
Unit cell a=5.452 b=5.448 c=9.376 alpha=90.00 beta=125.34 gamma=90.00
Element x y z (fractional)
Pr (0.242, 0.038, 0.249)
Pr (0.242, 0.462, 0.749)
Pr (0.758, 0.538, 0.251)
Pr (0.758, 0.962, 0.751)
Be (0.000, 0.000, 0.500)
Be (0.000, 0.500, 0.000)
Rh (0.500, 0.000, 0.000)
Rh (0.500, 0.500, 0.500)
O (0.170, 0.227, 0.961)
O (0.170, 0.273, 0.461)
O (0.236, 0.710, 0.963)
O (0.236, 0.790, 0.463)
O (0.310, 0.009, 0.739)
O (0.310, 0.491, 0.239)
O (0.690, 0.509, 0.761)
O (0.690, 0.991, 0.261)
O (0.764, 0.210, 0.537)
O (0.764, 0.290, 0.037)
O (0.830, 0.727, 0.539)
O (0.830, 0.773, 0.039)

***

Please write out number 1 again, unchanged.
For Be2Zn2PbO6, the GGA-PBE geometry in Alexandria gives the computed XRD peak list in this record (Cu Kα (λ = 1.5418 Å)).
Lines closer than 0.1° are merged.

Largest 8 diffraction maxima, low angle first, 2θ = 5–70°:
- 2θ = 14.07°, rel. 71
- 2θ = 24.24°, rel. 100
- 2θ = 34.37°, rel. 42
- 2θ = 34.74°, rel. 67
- 2θ = 37.31°, rel. 33
- 2θ = 42.50°, rel. 28
- 2θ = 49.67°, rel. 24
- 2θ = 61.79°, rel. 24

Structure:
Unit cell a=5.219 b=5.219 c=6.294 alpha=90.00 beta=90.00 gamma=120.00
Element x y z (fractional)
Be (0.333, 0.667, 0.287)
Be (0.667, 0.333, 0.713)
Zn (0.333, 0.667, 0.741)
Zn (0.667, 0.333, 0.259)
Pb (0.000, 0.000, 0.500)
O (0.044, 0.681, 0.291)
O (0.319, 0.363, 0.291)
O (0.363, 0.044, 0.709)
O (0.637, 0.956, 0.291)
O (0.681, 0.637, 0.709)
O (0.956, 0.319, 0.709)